This entry pairs a crystal structure of Li2MnPCO7 with its calculated XRD peak list. Radiation: copper Kα. Structure: DFT lattice parameters and positions (PBE+U).
Neutral-atom scattering factors, no anomalous dispersion.

Cell lengths 5.048, 6.369, 8.572 Å; angles 95.35, 95.12, 93.10 degrees
Positions (direct):
Li 0.000 0.000 0.000
Li 0.064 0.607 0.662
Li 0.577 0.880 0.500
Li 0.896 0.426 0.005
Mn 0.104 0.209 0.418
Mn 0.463 0.704 0.091
P 0.019 0.706 0.332
P 0.545 0.212 0.171
C 0.587 0.723 0.806
C 0.987 0.204 0.699
O 0.045 0.527 0.439
O 0.122 0.639 0.168
O 0.195 0.899 0.415
O 0.214 0.291 0.673
O 0.337 0.721 0.821
O 0.385 0.011 0.086
O 0.439 0.271 0.331
O 0.513 0.395 0.062
O 0.697 0.716 0.679
O 0.726 0.760 0.303
O 0.744 0.730 0.943
O 0.835 0.135 0.566
O 0.848 0.177 0.189
O 0.906 0.190 0.834

The 6 most intense peaks (10° ≤ 2θ ≤ 90°), by intensity:
| (hkl) | Position (°2θ) | intensity |
| --- | --- | --- |
| 0 0 1 | 10.4 | 100.0 |
| 0 2 0 | 28.2 | 64.5 |
| 1 0 1 | 21.4 | 60.2 |
| 1 0 -1 | 19.7 | 27.1 |
| 1 0 -2 | 26.2 | 25.9 |
| 2 0 -1 | 36.4 | 19.0 |